Entry 1:
Simulated PXRD pattern of Ho3MnO7 for Cu Kα X-rays, from a structure optimized by DFT (GGA+U).
No peak broadening, texture or thermal motion is included.

Cell and atoms:
```
data_Ho3MnO7
_chemical_formula_sum 'Ho12 Mn4 O28'
_cell_length_a 7.397
_cell_length_b 10.357
_cell_length_c 7.314
_cell_angle_alpha 90.00
_cell_angle_beta 90.00
_cell_angle_gamma 90.00
_symmetry_space_group_name_H-M 'C 2 2 21'
_symmetry_Int_Tables_number 20
_symmetry_space_group_name_Hall 'C 2c 2'
loop_
_atom_site_label
_atom_site_type_symbol
_atom_site_fract_x
_atom_site_fract_y
_atom_site_fract_z
Ho1 Ho 0.031 0.000 0.000
Ho2 Ho 0.232 0.272 0.756
Mn1 Mn 0.004 0.500 0.500
O1 O 0.000 0.131 0.250
O2 O 0.000 0.136 0.750
O3 O 0.000 0.431 0.750
O4 O 0.190 0.378 0.035
O5 O 0.201 0.377 0.474
```

Top 12 peaks for 2θ from 10° to 80°, in order of falling intensity:
d/Å  2θ (°)  I_rel  hkl
2.987  29.9  100  0 2 2
3.010  29.7  99  2 2 0
1.835  49.7  53  2 4 2
2.600  34.5  45  2 0 2
1.563  59.1  37  2 2 4
1.572  58.7  21  4 2 2
2.589  34.6  19  0 4 0
1.829  49.9  17  0 0 4
6.019  14.7  14  1 1 0
1.849  49.3  12  4 0 0
3.127  28.5  10  1 3 0
1.561  59.2  10  0 6 2



Entry 2:
Simulated PXRD pattern of HoMn2O4 for Cu Kα X-rays, from a structure optimized by DFT (GGA+U).
No peak broadening, texture or thermal motion is included.

Cell and atoms:
```
data_HoMn2O4
_chemical_formula_sum 'Ho4 Mn8 O16'
_cell_length_a 10.311
_cell_length_b 3.177
_cell_length_c 10.009
_cell_angle_alpha 90.00
_cell_angle_beta 90.00
_cell_angle_gamma 90.00
_symmetry_space_group_name_H-M 'P c a 21'
_symmetry_Int_Tables_number 29
_symmetry_space_group_name_Hall 'P 2c -2ac'
loop_
_atom_site_label
_atom_site_type_symbol
_atom_site_fract_x
_atom_site_fract_y
_atom_site_fract_z
Ho1 Ho 0.139 0.207 0.000
Mn1 Mn 0.115 0.697 0.312
Mn2 Mn 0.123 0.732 0.675
O1 O 0.020 0.684 0.123
O2 O 0.046 0.736 0.855
O3 O 0.205 0.710 0.499
O4 O 0.246 0.176 0.230
```

Top 12 peaks for 2θ from 10° to 80°, in order of falling intensity:
d/Å  2θ (°)  I_rel  hkl
2.801  32.0  100  2 0 3
4.583  19.4  70  2 0 1
2.272  39.7  68  3 1 1
2.596  34.6  52  1 1 2
2.905  30.8  50  1 1 1
2.114  42.8  37  3 1 2
2.578  34.8  31  4 0 0
1.635  56.3  25  5 1 2
5.004  17.7  24  0 0 2
1.671  54.9  23  1 1 5
1.931  47.1  20  1 1 4
1.528  60.6  19  6 0 3



Entry 3:
Simulated PXRD pattern of Ho2TiMnO6 for Cu Kα X-rays, from a structure optimized by DFT (GGA+U).
No peak broadening, texture or thermal motion is included.

Cell and atoms:
```
data_Ho2TiMnO6
_chemical_formula_sum 'Ho2 Ti1 Mn1 O6'
_cell_length_a 5.210
_cell_length_b 5.210
_cell_length_c 5.045
_cell_angle_alpha 90.00
_cell_angle_beta 90.00
_cell_angle_gamma 90.00
_symmetry_space_group_name_H-M 'P 4 m m'
_symmetry_Int_Tables_number 99
_symmetry_space_group_name_Hall 'P 4 -2'
loop_
_atom_site_label
_atom_site_type_symbol
_atom_site_fract_x
_atom_site_fract_y
_atom_site_fract_z
Ho1 Ho 0.000 0.500 0.000
Ti1 Ti 0.000 0.000 0.606
Mn1 Mn 0.500 0.500 0.568
O1 O 0.000 0.000 0.240
O2 O 0.240 0.240 0.750
O3 O 0.500 0.500 0.172
```

Top 12 peaks for 2θ from 10° to 80°, in order of falling intensity:
d/Å  2θ (°)  I_rel  hkl
2.975  30.0  100  1 1 1
5.045  17.6  38  0 0 1
2.605  34.4  33  2 0 0
1.566  59.0  29  3 1 1
1.812  50.4  25  2 0 2
2.081  43.5  23  1 1 2
1.842  49.5  20  2 2 0
2.315  38.9  19  2 0 1
3.684  24.2  17  1 1 0
1.379  68.0  12  3 1 2
1.530  60.5  10  1 1 3
2.522  35.6  9  0 0 2



Entry 4:
Simulated PXRD pattern of HoUMnO6 for Cu Kα X-rays, from a structure optimized by DFT (GGA+U).
No peak broadening, texture or thermal motion is included.

Cell and atoms:
```
data_HoUMnO6
_chemical_formula_sum 'Ho2 U2 Mn2 O12'
_cell_length_a 5.6678
_cell_length_b 5.6678
_cell_length_c 8.7657
_cell_angle_alpha 90.00
_cell_angle_beta 90.00
_cell_angle_gamma 120.00
_symmetry_space_group_name_H-M 'P -3 1 c'
_symmetry_Int_Tables_number 163
_symmetry_space_group_name_Hall '-P 3 2c'
loop_
_atom_site_label
_atom_site_type_symbol
_atom_site_fract_x
_atom_site_fract_y
_atom_site_fract_z
Ho1 Ho 0.3333 0.6667 0.2500
U1 U 0.3333 0.6667 0.7500
Mn1 Mn 0.0000 0.0000 0.0000
O1 O 0.0247 0.3448 0.6278
```

Top 12 peaks for 2θ from 10° to 80°, in order of falling intensity:
d/Å  2θ (°)  I_rel  hkl
3.269  27.3  100  1 0 2
2.834  31.6  85  1 1 0
2.380  37.8  79  1 1 2
1.734  52.8  61  1 1 4
4.383  20.3  60  0 0 2
4.908  18.1  38  1 0 0
1.636  56.2  34  3 0 0
2.141  42.2  31  2 0 2
1.708  53.6  31  2 1 2
1.299  72.8  25  2 -1 6
1.533  60.4  20  3 0 2
1.417  65.9  17  2 2 0